Starting from the GGA-PBE geometry in Alexandria, the X-ray diffraction stick pattern of Tb12Ho2Sc was simulated for copper Kα.

```
15
Lattice="3.555 0.000 0.000 0.000 5.467 0.000 -0.095 0.000 24.578" Properties=species:S:1:pos:R:3 pbc="T T T"
Tb 0.724 0.000 10.763
Tb 0.794 2.733 15.459
Tb 0.792 0.000 23.227
Tb 0.890 2.733 1.859
Tb 0.878 0.000 7.368
Tb 0.901 0.000 4.159
Tb 2.559 0.000 20.419
Tb 2.582 0.000 17.210
Tb 2.570 2.733 22.719
Tb 2.668 0.000 1.351
Tb 2.666 2.733 9.120
Tb 2.737 0.000 13.815
Ho 0.778 2.733 19.095
Ho 2.682 2.733 5.483
Sc 1.730 2.733 12.289
```

Largest 10 diffraction maxima, by angle, 2θ from 10° to 90°:
30.23 deg, d 2.956, intensity 100.0
30.88 deg, d 2.896, intensity 32.6
31.95 deg, d 2.801, intensity 15.5
32.76 deg, d 2.733, intensity 56.8
33.34 deg, d 2.687, intensity 40.5
33.45 deg, d 2.679, intensity 69.1
47.42 deg, d 1.917, intensity 14.5
56.92 deg, d 1.618, intensity 16.8
58.91 deg, d 1.568, intensity 15.2
62.31 deg, d 1.490, intensity 15.4

---

Starting from the GGA-PBE geometry in Alexandria, the X-ray diffraction stick pattern of Er3Ga4 was simulated for copper Kα.

```
14
Lattice="2.039 -5.392 0.000 2.039 5.392 0.000 0.000 0.000 13.925" Properties=species:S:1:pos:R:3 pbc="T T T"
Er 2.039 5.366 10.443
Er 2.039 2.168 8.359
Er 2.039 2.168 12.528
Er 2.039 -2.168 1.397
Er 2.039 -2.168 5.565
Er 2.039 -5.366 3.481
Ga 0.000 0.000 0.000
Ga 0.000 0.000 6.962
Ga 2.039 2.476 3.481
Ga 2.039 0.920 1.407
Ga 2.039 0.920 5.555
Ga 2.039 -0.920 8.370
Ga 2.039 -0.920 12.517
Ga 2.039 -2.476 10.443
```

Largest 10 diffraction maxima, by angle, 2θ from 10° to 90°:
26.65 deg, d 3.345, intensity 23.1
30.33 deg, d 2.947, intensity 65.6
30.57 deg, d 2.925, intensity 39.0
33.22 deg, d 2.697, intensity 99.3
33.86 deg, d 2.647, intensity 23.9
34.89 deg, d 2.571, intensity 87.8
38.62 deg, d 2.332, intensity 100.0
38.80 deg, d 2.321, intensity 28.4
44.43 deg, d 2.039, intensity 40.5
54.90 deg, d 1.672, intensity 33.1

---

- Which formula does entry 2 have?
  Er3Ga4